Starting from a cell relaxed with GGA-PBE, the powder X-ray diffraction pattern of NaHoPtSe3 was calculated for Cu Ka.
Lines closer than 0.1° are merged.

Largest 10 diffraction maxima, by angle, 10° ≤ 2θ ≤ 90°:
d_spacing  intensity
7.305  100
3.073  11
3.053  22
2.940  13
2.628  63
2.540  13
2.400  15
2.133  35
2.086  10
1.978  18

Atomic structure:
a b c (Å): 7.5684 7.5684 10.1639
angles (deg): 90.00 90.00 149.69
Fractional coordinates of all 12 atoms:
Na (0.2309, 0.7691, 0.7500)
Na (0.7691, 0.2309, 0.2500)
Ho (0.0000, 0.0000, 0.0000)
Ho (0.0000, 0.0000, 0.5000)
Pt (0.4907, 0.5093, 0.2500)
Pt (0.5093, 0.4907, 0.7500)
Se (0.0991, 0.9009, 0.2500)
Se (0.3680, 0.6320, 0.0762)
Se (0.3680, 0.6320, 0.4238)
Se (0.6320, 0.3680, 0.5762)
Se (0.6320, 0.3680, 0.9238)
Se (0.9009, 0.0991, 0.7500)

---

Starting from a cell relaxed with GGA-PBE, the powder X-ray diffraction pattern of NaHoU was calculated for Cu Ka.
Lines closer than 0.1° are merged.

Largest 10 diffraction maxima, by angle, 10° ≤ 2θ ≤ 90°:
d_spacing  intensity
4.266  90
2.612  100
2.228  50
1.847  18
1.695  22
1.508  38
1.422  17
1.306  12
1.249  17
1.168  17

Atomic structure:
a b c (Å): 5.2247 5.2247 5.2247
angles (deg): 60.00 60.00 60.00
Fractional coordinates of all 3 atoms:
Na (0.0000, 0.0000, 0.0000)
Ho (0.2500, 0.2500, 0.2500)
U (0.5000, 0.5000, 0.5000)

---

Starting from a cell relaxed with GGA-PBE, the powder X-ray diffraction pattern of Rb2HoNbO4 was calculated for Cu Ka.
Lines closer than 0.1° are merged.

Largest 10 diffraction maxima, by angle, 10° ≤ 2θ ≤ 90°:
d_spacing  intensity
6.416  19
3.208  39
2.823  21
2.638  100
2.397  32
2.149  19
1.720  35
1.671  27
1.482  24
1.412  15

Atomic structure:
a b c (Å): 3.3416 3.3416 12.8318
angles (deg): 90.00 90.00 120.00
Fractional coordinates of all 8 atoms:
Rb (0.3333, 0.6667, 0.2442)
Rb (0.6667, 0.3333, 0.7558)
Ho (0.0000, 0.0000, 0.5000)
Nb (0.0000, 0.0000, 0.0000)
O (0.3333, 0.6667, 0.5922)
O (0.3333, 0.6667, 0.9150)
O (0.6667, 0.3333, 0.0850)
O (0.6667, 0.3333, 0.4078)

---

Starting from a cell relaxed with GGA-PBE, the powder X-ray diffraction pattern of NdHoPO was calculated for Cu Ka.
Lines closer than 0.1° are merged.

Largest 10 diffraction maxima, by angle, 10° ≤ 2θ ≤ 90°:
d_spacing  intensity
7.385  14
3.695  54
3.145  100
2.998  34
2.328  25
2.277  13
2.133  36
1.766  15
1.758  15
1.738  28

Atomic structure:
a b c (Å): 4.2680 7.3850 5.9959
angles (deg): 90.00 90.00 90.00
Fractional coordinates of all 8 atoms:
Nd (0.0000, 0.1972, 0.0000)
Nd (0.0000, 0.8028, 0.5000)
Ho (0.5000, 0.3838, 0.5729)
Ho (0.5000, 0.6162, 0.0729)
P (0.0000, 0.1808, 0.4927)
P (0.0000, 0.8192, 0.9927)
O (0.5000, 0.3382, 0.9353)
O (0.5000, 0.6618, 0.4353)

---

Starting from a cell relaxed with GGA-PBE, the powder X-ray diffraction pattern of Nd4Ho2Te2Pd was calculated for Cu Ka.
Lines closer than 0.1° are merged.

Largest 10 diffraction maxima, by angle, 10° ≤ 2θ ≤ 90°:
d_spacing  intensity
2.949  100
2.938  48
2.824  37
2.798  40
2.747  47
2.735  87
2.474  36
2.314  41
2.023  35
1.566  37

Atomic structure:
a b c (Å): 4.0463 8.6156 8.6156
angles (deg): 120.53 90.00 90.00
Fractional coordinates of all 9 atoms:
Nd (0.0000, 0.0000, 0.0000)
Nd (0.0000, 0.1839, 0.5917)
Nd (0.0000, 0.5917, 0.1839)
Nd (0.5000, 0.3464, 0.3464)
Ho (0.5000, 0.5930, 0.8349)
Ho (0.5000, 0.8349, 0.5930)
Te (0.5000, 0.2597, 0.9217)
Te (0.5000, 0.9217, 0.2597)
Pd (0.0000, 0.6075, 0.6075)

---

Starting from a cell relaxed with GGA-PBE, the powder X-ray diffraction pattern of Nd3Ho3Te2Pt was calculated for Cu Ka.
Lines closer than 0.1° are merged.

Largest 10 diffraction maxima, by angle, 10° ≤ 2θ ≤ 90°:
d_spacing  intensity
7.360  23
2.938  84
2.782  62
2.729  100
2.453  38
2.296  54
2.033  25
1.642  26
1.566  19
1.559  39

Atomic structure:
a b c (Å): 8.4990 8.4990 4.0667
angles (deg): 90.00 90.00 120.00
Fractional coordinates of all 9 atoms:
Nd (0.0000, 0.4060, 0.0000)
Nd (0.4060, 0.0000, 0.0000)
Nd (0.5940, 0.5940, 0.0000)
Ho (0.0000, 0.7604, 0.5000)
Ho (0.2396, 0.2396, 0.5000)
Ho (0.7604, 0.0000, 0.5000)
Te (0.3333, 0.6667, 0.5000)
Te (0.6667, 0.3333, 0.5000)
Pt (0.0000, 0.0000, 0.0000)

---

Starting from a cell relaxed with GGA-PBE, the powder X-ray diffraction pattern of Nd2HoSb3 was calculated for Cu Ka.
Lines closer than 0.1° are merged.

Largest 10 diffraction maxima, by angle, 10° ≤ 2θ ≤ 90°:
d_spacing  intensity
3.649  2
3.160  100
2.235  76
1.906  2
1.824  27
1.580  13
1.450  1
1.413  35
1.290  25
1.117  8

Atomic structure:
a b c (Å): 4.4674 4.4674 10.9551
angles (deg): 90.00 90.00 120.00
Fractional coordinates of all 6 atoms:
Nd (0.3333, 0.6667, 0.3292)
Nd (0.6667, 0.3333, 0.6708)
Ho (0.0000, 0.0000, 0.0000)
Sb (0.0000, 0.0000, 0.5000)
Sb (0.3333, 0.6667, 0.8416)
Sb (0.6667, 0.3333, 0.1584)

---

Starting from a cell relaxed with GGA-PBE, the powder X-ray diffraction pattern of NdHoTl2Zn2 was calculated for Cu Ka.
Lines closer than 0.1° are merged.

Largest 10 diffraction maxima, by angle, 10° ≤ 2θ ≤ 90°:
d_spacing  intensity
3.586  38
2.759  100
2.359  77
2.128  20
1.793  28
1.465  21
1.427  27
1.362  13
1.313  9
1.101  9

Atomic structure:
a b c (Å): 4.7181 4.7181 7.4805
angles (deg): 90.00 90.00 120.00
Fractional coordinates of all 6 atoms:
Nd (0.0000, 0.0000, 0.0000)
Ho (0.0000, 0.0000, 0.5004)
Tl (0.3333, 0.6667, 0.7709)
Tl (0.6667, 0.3333, 0.2861)
Zn (0.3333, 0.6667, 0.2051)
Zn (0.6667, 0.3333, 0.6922)